Simulated X-ray powder pattern
Compound: CaAlB
Radiation: Cu Kα, 1.54184 Å
Structure: a DFT-relaxed cell (GGA-PBE, Alexandria)
Peak positions follow from Bragg's law for the DFT cell and can differ from measured ones.

Atomic structure:
```
CaAlB
1.0
5.1274 0.0000 0.0000
0.0000 12.1584 0.0000
0.0000 0.0000 3.8136
Ca Al B
4 4 4
Direct
0.0000 0.1480 0.0000
0.0000 0.8520 0.0000
0.5000 0.3520 0.0000
0.5000 0.6480 0.0000
0.0000 0.3924 0.5000
0.0000 0.6076 0.5000
0.5000 0.1076 0.5000
0.5000 0.8924 0.5000
0.1541 0.0000 0.5000
0.3459 0.5000 0.5000
0.6541 0.5000 0.5000
0.8459 0.0000 0.5000
```

Top 10 peaks for 5 to 70 degrees two-theta, by intensity:
2θ (°)	intensity
36.80	100
30.12	97
35.00	41
29.38	40
47.73	37
46.33	31
27.61	26
59.78	20
28.06	18
68.68	18

---

Simulated X-ray powder pattern
Compound: Mg7Sc4Ag
Radiation: Cu Kα, 1.54184 Å
Structure: a DFT-relaxed cell (GGA-PBE, Alexandria)
Peak positions follow from Bragg's law for the DFT cell and can differ from measured ones.

Atomic structure:
```
Mg7Sc4Ag
1.0
5.3744 -2.6137 0.0000
5.3744 2.6137 0.0000
-4.9251 0.0000 10.2135
Mg Sc Ag
7 4 1
Direct
0.0000 0.0000 0.0000
0.2226 0.2226 0.9204
0.2890 0.2890 0.6991
0.3580 0.3580 0.4757
0.6420 0.6420 0.5243
0.7110 0.7110 0.3009
0.7774 0.7774 0.0796
0.0373 0.0373 0.3690
0.3778 0.3778 0.2213
0.6222 0.6222 0.7787
0.9627 0.9627 0.6310
0.5000 0.5000 0.0000
```

Top 10 peaks for 5 to 70 degrees two-theta, by intensity:
2θ (°)	intensity
36.56	100
34.31	79
36.90	79
34.93	57
49.77	42
24.58	41
8.66	40
22.78	33
19.46	31
19.30	30

---

Number 1 is which compound?
CaAlB